Starting from a cell relaxed with PBE+U, the PXRD pattern of CuMo2O7 was calculated for Cu Kα (weighted mean of Kα1 and Kα2).
Kinematic intensities with the Lorentz-polarization factor, no thermal factor.

Main lines, low angle first (2θ from 15° to 90°):
- d 4.916, 18.0 deg, I = 39
- d 4.440, 20.0 deg, I = 35
- d 3.970, 22.4 deg, I = 23
- d 3.858, 23.1 deg, I = 18
- d 3.835, 23.2 deg, I = 100
- d 3.561, 25.0 deg, I = 15
- d 3.257, 27.4 deg, I = 35
- d 3.089, 28.9 deg, I = 67
- d 2.767, 32.4 deg, I = 25
- d 2.758, 32.5 deg, I = 18
- d 2.447, 36.7 deg, I = 13
- d 2.156, 41.9 deg, I = 26

Structure:
```
data_CuMo2O7
_space_group_name_H-M_alt 'P 1 2/c 1'
_space_group_IT_number 13
_space_group_name_Hall '-P 2yc'
_cell_length_a 11.5096
_cell_length_b 7.9403
_cell_length_c 10.7172
_cell_angle_alpha 90.00
_cell_angle_beta 91.84
_cell_angle_gamma 90.00
loop_
_atom_site_label
_atom_site_type_symbol
_atom_site_fract_x
_atom_site_fract_y
_atom_site_fract_z
_atom_site_occupancy
Cu1 Cu 0.0000 0.0408 0.2500 1
Cu2 Cu 0.3645 0.4390 0.9267 1
Mo1 Mo 0.0149 0.3006 0.5277 1
Mo2 Mo 0.3284 0.2502 0.6375 1
Mo3 Mo 0.3473 0.2050 0.2054 1
O1 O 0.0029 0.2182 0.1249 1
O2 O 0.0288 0.1330 0.8735 1
O3 O 0.0908 0.4630 0.9433 1
O4 O 0.1730 0.3008 0.5995 1
O5 O 0.2278 0.0941 0.2592 1
O6 O 0.3168 0.2839 0.0504 1
O7 O 0.3526 0.3918 0.3002 1
O8 O 0.3608 0.2631 0.8010 1
O9 O 0.3660 0.0488 0.5857 1
O10 O 0.4150 0.3987 0.5537 1
O11 O 0.5000 0.1207 0.2500 1
```